LaDy3Au2: theoretical powder diffractogram (Cu Kα (weighted mean of Kα1 and Kα2)), based on a crystal structure in Alexandria, relaxed with GGA-PBE.

Most intense lines, 15° ≤ 2θ ≤ 90°, by angle:
two_theta, intensity
29.29, 59
30.48, 21
31.63, 21
32.07, 100
34.66, 70
35.86, 57
42.78, 21
42.96, 24

Structure:
abc: 5.008 9.069 7.238
angles: 90.00 90.00 90.00
Sites, in units of the cell vectors:
La 0.000 0.075 0.000
La 0.000 0.925 0.500
Dy 0.000 0.335 0.639
Dy 0.000 0.665 0.139
Dy 0.500 0.172 0.341
Dy 0.500 0.430 0.978
Dy 0.500 0.570 0.478
Dy 0.500 0.828 0.841
Au 0.000 0.354 0.240
Au 0.000 0.646 0.740
Au 0.500 0.160 0.742
Au 0.500 0.840 0.242


UNiIrRu: theoretical powder diffractogram (Cu Kα (weighted mean of Kα1 and Kα2)), based on a crystal structure in Alexandria, relaxed with GGA-PBE.

Most intense lines, 15° ≤ 2θ ≤ 90°, by angle:
two_theta, intensity
22.50, 18
31.93, 16
39.41, 100
44.08, 18
45.92, 16
47.43, 15
77.92, 14
80.57, 13

Structure:
abc: 3.834 3.952 4.108
angles: 90.00 90.00 90.00
Sites, in units of the cell vectors:
U 0.000 0.000 0.000
Ni 0.000 0.500 0.500
Ir 0.500 0.000 0.500
Ru 0.500 0.500 0.000


CeP2PtRh2: theoretical powder diffractogram (Cu Kα (weighted mean of Kα1 and Kα2)), based on a crystal structure in Alexandria, relaxed with GGA-PBE.

Most intense lines, 15° ≤ 2θ ≤ 90°, by angle:
two_theta, intensity
27.80, 90
38.08, 100
39.72, 55
56.19, 64
57.42, 18
64.97, 17
70.99, 16
84.56, 20

Structure:
abc: 4.539 4.539 5.537
angles: 90.00 90.00 90.00
Sites, in units of the cell vectors:
Ce 0.000 0.000 0.000
P 0.000 0.500 0.500
P 0.500 0.000 0.500
Pt 0.000 0.000 0.500
Rh 0.500 0.500 0.252
Rh 0.500 0.500 0.748


Os2RuRh4: theoretical powder diffractogram (Cu Kα (weighted mean of Kα1 and Kα2)), based on a crystal structure in Alexandria, relaxed with GGA-PBE.

Most intense lines, 15° ≤ 2θ ≤ 90°, by angle:
two_theta, intensity
20.26, 54
39.57, 30
41.18, 100
41.49, 98
47.97, 64
48.37, 31
70.50, 40
84.54, 25

Structure:
abc: 4.630 4.630 5.335
angles: 90.04 90.04 71.24
Sites, in units of the cell vectors:
Os 0.000 0.000 0.000
Os 0.000 0.000 0.500
Ru 0.500 0.500 0.000
Rh 0.001 0.500 0.745
Rh 0.500 0.001 0.745
Rh 0.500 0.999 0.255
Rh 0.999 0.500 0.255


MgNbRuO6: theoretical powder diffractogram (Cu Kα (weighted mean of Kα1 and Kα2)), based on a crystal structure in Alexandria, relaxed with GGA-PBE.

Most intense lines, 15° ≤ 2θ ≤ 90°, by angle:
two_theta, intensity
19.33, 15
21.01, 35
26.47, 100
34.84, 63
37.79, 15
52.33, 63
54.51, 18
66.33, 21

Structure:
abc: 4.762 4.762 9.185
angles: 90.00 90.00 90.00
Sites, in units of the cell vectors:
Mg 0.000 0.000 0.000
Mg 0.500 0.500 0.500
Nb 0.000 0.000 0.670
Nb 0.500 0.500 0.170
Ru 0.000 0.000 0.331
Ru 0.500 0.500 0.831
O 0.188 0.188 0.494
O 0.198 0.198 0.174
O 0.205 0.205 0.822
O 0.295 0.705 0.322
O 0.302 0.698 0.674
O 0.312 0.688 0.994
O 0.688 0.312 0.994
O 0.698 0.302 0.674
O 0.705 0.295 0.322
O 0.795 0.795 0.822
O 0.802 0.802 0.174
O 0.812 0.812 0.494